Entry 1:
This entry pairs a crystal structure of In5Hg2Cl5 with its theoretical PXRD pattern. Radiation: Cu Ka. Structure: a crystal structure in Alexandria, relaxed with GGA-PBE.
Neutral-atom scattering factors, no anomalous dispersion.

Largest 12 diffraction maxima, in order of rising 2θ, 10 to 80 degrees two-theta:
2θ/deg  d [Å]  Rel. int.  (hkl)
11.5  7.716  42  1 1 0
13.8  6.433  36  1 0 1
16.2  5.456  74  2 0 0
21.4  4.161  82  2 1 1
25.2  3.538  51  1 1 2
31.6  2.829  23  3 2 1
32.3  2.771  100  2 2 2
32.8  2.728  63  4 0 0
34.4  2.608  81  3 1 2
36.8  2.440  31  4 2 0
47.1  1.929  35  4 4 0
58.3  1.583  26  6 2 2

Atomic structure:
Cell: 10.912 10.912 7.963 Å, 90.00 90.00 90.00°
Space group I4mm (No. 107)
Unique sites:
In 0.000 0.000 0.000 x2
In 0.000 0.261 0.583 x8
Hg 0.000 0.500 0.320 x4
Cl 0.000 0.000 0.468 x2
Cl 0.179 0.179 0.819 x8


Entry 2:
This entry pairs a crystal structure of InHgCl2 with its theoretical PXRD pattern. Radiation: Cu Ka. Structure: a crystal structure in Alexandria, relaxed with GGA-PBE.
Neutral-atom scattering factors, no anomalous dispersion.

Largest 12 diffraction maxima, in order of rising 2θ, 10 to 80 degrees two-theta:
2θ/deg  d [Å]  Rel. int.  (hkl)
21.0  4.237  100  1 1 2
21.1  4.201  49  2 0 0
24.8  3.588  12  2 1 1
30.1  2.971  12  2 2 0
36.6  2.453  25  2 0 4
37.0  2.432  48  3 1 2
42.7  2.119  24  2 2 4
47.7  1.908  12  1 1 6
48.4  1.880  22  4 2 0
57.4  1.605  13  3 1 6
57.8  1.596  13  4 2 4
58.0  1.590  13  5 1 2

Atomic structure:
Cell: 8.402 8.402 12.090 Å, 90.00 90.00 90.00°
Space group I-42d (No. 122)
Unique sites:
In 0.000 0.000 0.000 x4
Hg 0.000 0.000 0.500 x4
Cl 0.007 0.750 0.125 x8


Entry 3:
This entry pairs a crystal structure of In4Hg5Cl4 with its theoretical PXRD pattern. Radiation: Cu Ka. Structure: a crystal structure in Alexandria, relaxed with GGA-PBE.
Neutral-atom scattering factors, no anomalous dispersion.

Largest 12 diffraction maxima, in order of rising 2θ, 10 to 80 degrees two-theta:
2θ/deg  d [Å]  Rel. int.  (hkl)
10.4  8.492  25  0 1 0
24.2  3.677  22  0 2 2
26.1  3.416  21  0 1 -3
27.6  3.232  78  1 2 2
29.0  3.080  33  1 1 -2
29.2  3.056  18  1 -1 2
31.0  2.881  53  -1 1 2
33.5  2.678  100  1 2 -2
34.2  2.620  18  1 -2 1
36.7  2.452  16  0 3 3
41.2  2.189  24  0 3 4
42.0  2.149  30  2 1 1

Atomic structure:
Cell: 4.298 8.822 12.120 Å, 80.59 79.82 76.05°
Space group P-1 (No. 2)
Unique sites:
In 0.116 0.138 0.131 x2
In 0.298 0.640 0.259 x2
Hg 0.000 0.000 0.500 x1
Hg 0.340 0.346 0.474 x2
Hg 0.367 0.068 0.698 x2
Cl 0.081 0.541 0.804 x2
Cl 0.332 0.801 0.032 x2


Entry 4:
This entry pairs a crystal structure of In2Hg7Cl with its theoretical PXRD pattern. Radiation: Cu Ka. Structure: a crystal structure in Alexandria, relaxed with GGA-PBE.
Neutral-atom scattering factors, no anomalous dispersion.

Largest 12 diffraction maxima, in order of rising 2θ, 10 to 80 degrees two-theta:
2θ/deg  d [Å]  Rel. int.  (hkl)
23.6  3.774  46  0 0 1
24.7  3.608  51  0 4 0
28.3  3.150  58  2 0 1
29.3  3.052  41  2 4 0
31.1  2.874  100  1 3 1
31.3  2.861  96  4 0 0
37.9  2.373  82  2 4 1
38.4  2.343  78  3 3 1
40.7  2.217  29  2 6 0
48.2  1.887  30  0 0 2
58.6  1.575  33  4 0 2
65.2  1.432  32  8 0 0

Atomic structure:
Cell: 11.444 14.432 3.774 Å, 90.00 90.00 90.00°
Space group Cmmm (No. 65)
Unique sites:
In 0.000 0.158 0.000 x4
Hg 0.000 0.331 0.500 x4
Hg 0.000 0.500 0.000 x2
Hg 0.240 0.377 0.000 x8
Cl 0.000 0.000 0.500 x2